[1]
For Y4InSi4Ni2, a crystal structure in OQMD, relaxed with PBE gives the computed powder XRD pattern in this record (copper Kα).

Top 8 peaks for 2θ from 10° to 90°, sorted by position:
2θ (°)  I/Imax
28.22  39
33.60  53
33.92  91
34.95  100
36.78  48
37.75  63
38.47  39
43.27  68

Structural model:
```
11
Lattice="7.655 -2.091 0.000 7.655 2.091 0.000 -2.237 0.000 6.592" Properties=species:S:1:pos:R:3 pbc="T T T"
Y 0.502 0.000 2.541
Y 0.280 0.000 6.176
Y 12.794 0.000 0.415
Y 12.572 0.000 4.051
In 7.655 0.000 0.000
Si 2.867 0.000 4.748
Si 5.893 0.000 2.278
Si 7.181 0.000 4.314
Si 10.207 0.000 1.843
Ni 3.545 0.000 2.374
Ni 9.529 0.000 4.218
```

[2]
For GdBC, a crystal structure in OQMD, relaxed with PBE gives the computed powder XRD pattern in this record (copper Kα).

Top 8 peaks for 2θ from 10° to 90°, sorted by position:
2θ (°)  I/Imax
10.38  55
20.84  100
24.90  57
30.49  62
32.69  56
36.73  50
39.76  88
52.75  40

Structural model:
```
12
Lattice="3.423 0.000 0.000 0.000 17.052 0.000 0.000 0.000 3.576" Properties=species:S:1:pos:R:3 pbc="T T T"
Gd 0.000 2.457 0.000
Gd 0.000 14.595 0.000
Gd 1.711 6.069 0.000
Gd 1.711 10.983 0.000
B 0.000 4.767 1.788
B 0.000 12.284 1.788
B 1.711 3.759 1.788
B 1.711 13.293 1.788
C 0.000 6.259 1.788
C 0.000 10.792 1.788
C 1.711 2.267 1.788
C 1.711 14.785 1.788
```

[3]
For YMgTeAuS2, a crystal structure in OQMD, relaxed with PBE gives the computed powder XRD pattern in this record (copper Kα).

Top 8 peaks for 2θ from 10° to 90°, sorted by position:
2θ (°)  I/Imax
13.60  50
15.50  39
24.81  36
31.29  39
31.61  100
34.48  32
38.84  38
50.69  26

Structural model:
```
12
Lattice="1.975 -6.509 0.000 1.975 6.509 0.000 0.000 0.000 11.435" Properties=species:S:1:pos:R:3 pbc="T T T"
Y 0.000 0.000 0.000
Y 0.000 0.000 5.718
Mg 1.975 3.510 8.576
Mg 1.975 -3.510 2.859
Te 1.975 5.072 2.859
Te 1.975 -5.072 8.576
Au 1.975 0.980 2.859
Au 1.975 -0.980 8.576
S 1.975 1.790 0.621
S 1.975 1.790 5.097
S 1.975 -1.790 6.338
S 1.975 -1.790 10.815
```

[4]
For La2NdAg4Sn4, a crystal structure in OQMD, relaxed with PBE gives the computed powder XRD pattern in this record (copper Kα).

Top 8 peaks for 2θ from 10° to 90°, sorted by position:
2θ (°)  I/Imax
30.88  27
31.14  100
31.94  89
34.21  31
37.99  49
40.32  29
42.22  34
56.59  21

Structural model:
```
11
Lattice="-2.369 3.710 7.864 2.369 -3.710 7.864 2.369 3.710 -7.864" Properties=species:S:1:pos:R:3 pbc="T T T"
La 0.000 0.000 2.039
La 0.000 0.000 13.688
Nd 0.000 3.710 0.000
Ag 2.369 2.274 -2.667
Ag 2.369 2.274 2.667
Ag 0.000 1.437 5.196
Ag 0.000 1.437 10.531
Sn 2.369 1.456 0.000
Sn 2.369 0.000 4.479
Sn 0.000 3.710 3.385
Sn 0.000 2.254 7.864
```

[5]
For NbC4, a crystal structure in OQMD, relaxed with PBE gives the computed powder XRD pattern in this record (copper Kα).

Top 8 peaks for 2θ from 10° to 90°, sorted by position:
2θ (°)  I/Imax
13.89  39
20.89  72
39.97  100
41.89  46
42.52  32
44.93  29
48.95  49
53.77  44

Structural model:
```
10
Lattice="2.646 0.000 0.000 -1.323 2.292 0.000 0.000 0.000 12.755" Properties=species:S:1:pos:R:3 pbc="T T T"
Nb 0.000 1.528 2.126
Nb 1.323 0.764 10.629
C 0.000 0.000 4.057
C 0.000 0.000 8.699
C 0.000 1.528 4.575
C 0.000 1.528 6.125
C 0.000 1.528 12.522
C 1.323 0.764 0.233
C 1.323 0.764 6.630
C 1.323 0.764 8.180
```

[6]
For K6ZnBi5, a crystal structure in OQMD, relaxed with PBE gives the computed powder XRD pattern in this record (copper Kα).

Top 8 peaks for 2θ from 10° to 90°, sorted by position:
2θ (°)  I/Imax
16.93  100
18.85  38
24.94  27
27.99  30
29.18  60
32.16  40
35.38  23
42.10  24

Structural model:
```
24
Lattice="5.567 0.000 0.000 0.000 15.435 0.000 0.000 0.000 11.666" Properties=species:S:1:pos:R:3 pbc="T T T"
K 1.392 0.286 2.155
K 1.392 7.431 2.155
K 1.392 9.525 6.541
K 1.392 11.576 2.857
K 1.392 11.576 10.401
K 1.392 13.628 6.541
K 4.175 1.808 5.125
K 4.175 3.859 1.265
K 4.175 3.859 8.809
K 4.175 5.910 5.125
K 4.175 8.004 9.511
K 4.175 15.149 9.511
Zn 1.392 3.859 6.284
Zn 4.175 11.576 5.382
Bi 1.392 1.571 7.818
Bi 1.392 2.325 10.732
Bi 1.392 3.859 3.577
Bi 1.392 5.392 10.732
Bi 1.392 6.146 7.818
Bi 4.175 9.289 3.848
Bi 4.175 10.043 0.934
Bi 4.175 11.576 8.089
Bi 4.175 13.110 0.934
Bi 4.175 13.864 3.848
```

What did the fifth record say?
For NbC4, a crystal structure in OQMD, relaxed with PBE gives the computed powder XRD pattern in this record (copper Kα).

Top 8 peaks for 2θ from 10° to 90°, sorted by position:
2θ (°)  I/Imax
13.89  39
20.89  72
39.97  100
41.89  46
42.52  32
44.93  29
48.95  49
53.77  44

Structural model:
```
10
Lattice="2.646 0.000 0.000 -1.323 2.292 0.000 0.000 0.000 12.755" Properties=species:S:1:pos:R:3 pbc="T T T"
Nb 0.000 1.528 2.126
Nb 1.323 0.764 10.629
C 0.000 0.000 4.057
C 0.000 0.000 8.699
C 0.000 1.528 4.575
C 0.000 1.528 6.125
C 0.000 1.528 12.522
C 1.323 0.764 0.233
C 1.323 0.764 6.630
C 1.323 0.764 8.180
```